Diffraction record for Sr2TcO5. The powder X-ray diffraction pattern is theoretical, not measured: it uses the GGA-PBE geometry in Alexandria and λ = 1.5418 Å (Cu Kα).

Cell: 11.525 3.880 11.896 Å, 90.00 90.00 90.00°
Fractional positions:
Sr (0.102, 0.250, 0.217)
Sr (0.112, 0.250, 0.565)
Sr (0.388, 0.750, 0.065)
Sr (0.398, 0.750, 0.717)
Sr (0.602, 0.250, 0.283)
Sr (0.612, 0.250, 0.935)
Sr (0.888, 0.750, 0.435)
Sr (0.898, 0.750, 0.783)
Tc (0.170, 0.250, 0.881)
Tc (0.330, 0.750, 0.381)
Tc (0.670, 0.250, 0.619)
Tc (0.830, 0.750, 0.119)
O (0.006, 0.250, 0.388)
O (0.014, 0.250, 0.861)
O (0.172, 0.750, 0.880)
O (0.231, 0.250, 0.021)
O (0.243, 0.750, 0.252)
O (0.257, 0.250, 0.752)
O (0.269, 0.750, 0.521)
O (0.328, 0.250, 0.380)
O (0.486, 0.750, 0.361)
O (0.494, 0.750, 0.888)
O (0.506, 0.250, 0.112)
O (0.514, 0.250, 0.639)
O (0.672, 0.750, 0.620)
O (0.731, 0.250, 0.479)
O (0.743, 0.750, 0.248)
O (0.757, 0.250, 0.748)
O (0.769, 0.750, 0.979)
O (0.828, 0.250, 0.120)
O (0.986, 0.750, 0.139)
O (0.994, 0.750, 0.612)

Largest 8 diffraction maxima, by angle, 10 to 90 degrees two-theta:
- 2θ = 23.73°, d = 3.750 Å, I = 23, hkl 1 0 3
- 2θ = 27.30°, d = 3.267 Å, I = 78, hkl 2 0 3
- 2θ = 27.71°, d = 3.220 Å, I = 100, hkl 2 1 0
- 2θ = 32.28°, d = 2.773 Å, I = 35, hkl 0 1 3
- 2θ = 45.39°, d = 1.998 Å, I = 28, hkl 4 1 3
- 2θ = 46.83°, d = 1.940 Å, I = 21, hkl 0 2 0
- 2θ = 48.41°, d = 1.880 Å, I = 18, hkl 5 1 2
- 2θ = 55.05°, d = 1.668 Å, I = 21, hkl 2 2 3